(1)
Structure and calculated powder X-ray diffraction pattern of Pm2Ho3Nb4 (DFT lattice parameters and positions (PBE); Cu Kα (weighted mean of Kα1 and Kα2)).
Lines closer than 0.1° are merged.

Top 12 peaks for 2θ = 10–90°, sorted by position:
d (Å)	Position (°2θ)	I (rel.)	h k l
2.967	30.12	14.0	1 0 1
2.603	34.46	78.0	1 1 1
2.558	35.09	100.0	3 0 0
2.465	36.45	15.8	2 0 1
2.154	41.94	18.1	2 1 1
1.824	50.00	24.6	2 2 1
1.608	57.28	8.6	0 0 2
1.544	59.90	10.8	2 3 1
1.485	62.54	23.4	4 1 1
1.477	62.94	16.1	3 3 0
1.362	68.97	27.5	3 0 2
1.279	74.15	9.3	6 0 0

```
data_Pm2Ho3Nb4
_cell_length_a 8.8597
_cell_length_b 8.8597
_cell_length_c 3.2168
_cell_angle_alpha 90.00
_cell_angle_beta 90.00
_cell_angle_gamma 120.00
_symmetry_space_group_name_H-M 'P -6'
_symmetry_Int_Tables_number 174
_symmetry_space_group_name_Hall 'P -6'
loop_
_atom_site_label
_atom_site_fract_x
_atom_site_fract_y
_atom_site_fract_z
Pm1 0.0000 0.0000 0.0000
Pm2 0.3333 0.6667 0.5000
Ho1 0.3494 0.3235 0.5000
Nb1 0.3476 0.0072 0.0000
Nb2 0.6667 0.3333 0.0000
```

***

(2)
Structure and calculated powder X-ray diffraction pattern of MgZnTeO (DFT lattice parameters and positions (PBE); Cu Kα (weighted mean of Kα1 and Kα2)).
Lines closer than 0.1° are merged.

Top 12 peaks for 2θ = 10–90°, sorted by position:
d (Å)	Position (°2θ)	I (rel.)	h k l
4.434	20.03	74.3	1 0 2
3.105	28.75	43.8	1 1 1
2.950	30.30	16.5	1 0 4
2.925	30.57	100.0	0 1 3
2.910	30.72	38.9	2 0 0
2.281	39.51	15.7	0 0 6
2.077	43.58	28.1	1 1 5
2.063	43.89	45.0	2 1 3
1.905	47.73	23.2	0 2 0
1.751	52.25	12.3	1 2 2
1.715	53.41	13.9	3 1 1
1.688	54.36	15.2	3 0 4

```
data_MgZnTeO
_cell_length_a 5.8210
_cell_length_b 3.8108
_cell_length_c 13.6870
_cell_angle_alpha 90.00
_cell_angle_beta 90.00
_cell_angle_gamma 90.00
_symmetry_space_group_name_H-M 'P n m a'
_symmetry_Int_Tables_number 62
_symmetry_space_group_name_Hall '-P 2ac 2n'
loop_
_atom_site_label
_atom_site_fract_x
_atom_site_fract_y
_atom_site_fract_z
Mg1 0.2499 0.2500 0.1165
Zn1 0.1256 0.2500 0.8041
Te1 0.2352 0.2500 0.4214
O1 0.2203 0.7500 0.1763
```

***

(3)
Structure and calculated powder X-ray diffraction pattern of W2Br5 (DFT lattice parameters and positions (PBE); Cu Kα (weighted mean of Kα1 and Kα2)).
Lines closer than 0.1° are merged.

Top 12 peaks for 2θ = 10–90°, sorted by position:
d (Å)	Position (°2θ)	I (rel.)	h k l
7.202	12.29	36.2	1 0 -2
6.934	12.77	57.7	1 1 0
6.837	12.95	100.0	0 1 2
6.075	14.58	10.5	1 1 1
5.634	15.73	12.4	1 0 2
3.041	29.37	11.9	1 3 -3
2.989	29.90	11.7	1 2 -5
2.959	30.20	13.1	3 1 -1
2.627	34.13	10.8	1 2 -6
2.278	39.56	12.7	0 3 6
2.185	41.31	12.8	2 4 2
2.120	42.65	10.6	4 1 1

```
data_W2Br5
_cell_length_a 9.2548
_cell_length_b 10.9121
_cell_length_c 18.0742
_cell_angle_alpha 90.00
_cell_angle_beta 103.93
_cell_angle_gamma 90.00
_symmetry_space_group_name_H-M 'P 1 21/c 1'
_symmetry_Int_Tables_number 14
_symmetry_space_group_name_Hall '-P 2ybc'
loop_
_atom_site_label
_atom_site_fract_x
_atom_site_fract_y
_atom_site_fract_z
W1 0.0710 0.1952 0.3647
W2 0.1279 0.1081 0.9442
W3 0.1545 0.1054 0.8063
W4 0.3445 0.2488 0.8876
Br1 0.0205 0.2050 0.5000
Br2 0.1120 0.5012 0.1687
Br3 0.1230 0.6785 0.7353
Br4 0.1425 0.5221 0.5786
Br5 0.1855 0.5963 0.3853
Br6 0.1956 0.1767 0.2453
Br7 0.2743 0.0430 0.4373
Br8 0.4033 0.1541 0.0180
Br9 0.4160 0.6466 0.1218
Br10 0.4377 0.0655 0.8200
```

***

(4)
Structure and calculated powder X-ray diffraction pattern of KAl3In6Co2 (DFT lattice parameters and positions (PBE); Cu Kα (weighted mean of Kα1 and Kα2)).
Lines closer than 0.1° are merged.

Top 12 peaks for 2θ = 10–90°, sorted by position:
d (Å)	Position (°2θ)	I (rel.)	h k l
7.301	12.12	34.6	1 0 0
4.119	21.57	39.2	0 0 1
3.650	24.38	22.6	2 0 0
2.946	30.34	29.6	1 1 1
2.759	32.45	52.0	2 1 0
2.732	32.78	50.1	2 0 1
2.292	39.30	100.0	2 1 1
2.108	42.91	23.7	2 2 0
2.095	43.18	40.3	3 0 1
2.059	43.97	26.5	0 0 2
1.650	55.69	21.3	2 1 2
1.376	68.14	23.7	5 0 1

```
data_KAl3In6Co2
_cell_length_a 8.4300
_cell_length_b 8.4300
_cell_length_c 4.1189
_cell_angle_alpha 90.00
_cell_angle_beta 90.00
_cell_angle_gamma 120.00
_symmetry_space_group_name_H-M 'P 6/m m m'
_symmetry_Int_Tables_number 191
_symmetry_space_group_name_Hall '-P 6 2'
loop_
_atom_site_label
_atom_site_fract_x
_atom_site_fract_y
_atom_site_fract_z
K1 0.0000 0.0000 0.0000
Al1 0.0000 0.5000 0.0000
In1 0.2071 0.4143 0.5000
Co1 0.3333 0.6667 0.0000
```

***

(5)
Structure and calculated powder X-ray diffraction pattern of Na3GdB2O6 (DFT lattice parameters and positions (PBE); Cu Kα (weighted mean of Kα1 and Kα2)).
Lines closer than 0.1° are merged.

Top 12 peaks for 2θ = 10–90°, sorted by position:
d (Å)	Position (°2θ)	I (rel.)	h k l
6.522	13.58	61.8	0 1 1
5.430	16.32	100.0	1 0 -2
4.588	19.34	63.9	1 1 0
4.332	20.50	48.3	0 1 2
3.945	22.54	67.9	0 2 1
3.597	24.75	35.9	1 1 1
3.574	24.92	43.6	1 2 -1
2.911	30.71	35.6	1 2 -3
2.485	36.14	44.8	0 3 2
2.142	42.18	39.1	2 3 -2
2.053	44.10	44.8	1 2 3
2.043	44.33	50.8	2 2 1

```
data_Na3GdB2O6
_cell_length_a 6.4566
_cell_length_b 8.5819
_cell_length_c 11.9333
_cell_angle_alpha 90.00
_cell_angle_beta 122.76
_cell_angle_gamma 90.00
_symmetry_space_group_name_H-M 'P 1 21/c 1'
_symmetry_Int_Tables_number 14
_symmetry_space_group_name_Hall '-P 2ybc'
loop_
_atom_site_label
_atom_site_fract_x
_atom_site_fract_y
_atom_site_fract_z
Na1 0.1270 0.1824 0.1008
Na2 0.3066 0.5561 0.1128
Na3 0.3583 0.7336 0.8473
Gd1 0.2002 0.1173 0.8535
B1 0.1187 0.0659 0.3728
B2 0.3544 0.6046 0.6371
O1 0.0063 0.6332 0.2535
O2 0.0527 0.5837 0.8836
O3 0.1340 0.6099 0.6271
O4 0.2915 0.1527 0.4802
O5 0.4173 0.0164 0.0821
O6 0.4677 0.2176 0.7928
```

***

(6)
Structure and calculated powder X-ray diffraction pattern of Nb2FeSn2Pd (DFT lattice parameters and positions (PBE); Cu Kα (weighted mean of Kα1 and Kα2)).
Lines closer than 0.1° are merged.

Top 12 peaks for 2θ = 10–90°, sorted by position:
d (Å)	Position (°2θ)	I (rel.)	h k l
3.532	25.22	33.5	1 1 2
3.069	29.09	25.8	2 0 0
3.038	29.40	12.9	0 0 4
2.170	41.61	50.2	2 2 0
2.159	41.84	100.0	2 0 4
1.849	49.28	10.9	3 1 2
1.835	49.68	5.2	1 1 6
1.766	51.77	10.5	2 2 4
1.535	60.31	16.3	4 0 0
1.519	61.00	8.2	0 0 8
1.251	76.10	32.6	4 2 4
1.244	76.56	16.6	2 2 8

```
data_Nb2FeSn2Pd
_cell_length_a 6.1384
_cell_length_b 6.1384
_cell_length_c 12.1514
_cell_angle_alpha 90.00
_cell_angle_beta 90.00
_cell_angle_gamma 90.00
_symmetry_space_group_name_H-M 'I -4 2 d'
_symmetry_Int_Tables_number 122
_symmetry_space_group_name_Hall 'I -4 2bw'
loop_
_atom_site_label
_atom_site_fract_x
_atom_site_fract_y
_atom_site_fract_z
Nb1 0.2297 0.7500 0.1250
Fe1 0.0000 0.0000 0.0000
Sn1 0.2437 0.2500 0.1250
Pd1 0.0000 0.0000 0.5000
```

***

(7)
Structure and calculated powder X-ray diffraction pattern of CuAg19 (DFT lattice parameters and positions (PBE); Cu Kα (weighted mean of Kα1 and Kα2)).
Lines closer than 0.1° are merged.

Top 12 peaks for 2θ = 10–90°, sorted by position:
d (Å)	Position (°2θ)	I (rel.)	h k l
2.389	37.66	100.0	1 2 -3
2.079	43.53	16.4	2 1 1
2.070	43.73	16.1	1 0 -5
2.057	44.01	15.8	1 -3 2
1.467	63.41	10.0	3 1 -4
1.464	63.57	5.0	1 4 -1
1.460	63.72	9.8	3 -2 3
1.459	63.80	4.9	0 3 -7
1.252	76.02	11.6	4 0 0
1.248	76.29	11.4	-3 1 6
1.243	76.68	8.5	3 -4 1
1.194	80.39	5.0	-4 2 2

```
data_CuAg19
_cell_length_a 5.0779
_cell_length_b 6.5162
_cell_length_c 11.3269
_cell_angle_alpha 106.55
_cell_angle_beta 94.35
_cell_angle_gamma 96.99
_symmetry_space_group_name_H-M 'P -1'
_symmetry_Int_Tables_number 2
_symmetry_space_group_name_Hall '-P 1'
loop_
_atom_site_label
_atom_site_fract_x
_atom_site_fract_y
_atom_site_fract_z
Cu1 0.0000 0.0000 0.0000
Ag1 0.9998 0.1974 0.8047
Ag2 0.9997 0.4004 0.6016
Ag3 0.2447 0.6545 0.8529
Ag4 0.2477 0.2453 0.2455
Ag5 0.2486 0.4425 0.0489
Ag6 0.2496 0.0499 0.4492
Ag7 0.2512 0.8503 0.6505
Ag8 0.4988 0.9013 0.0972
Ag9 0.4999 0.3015 0.7022
Ag10 0.5000 0.5000 0.5000
```

***

(8)
Structure and calculated powder X-ray diffraction pattern of Lu3BiCN (DFT lattice parameters and positions (PBE); Cu Kα (weighted mean of Kα1 and Kα2)).
Lines closer than 0.1° are merged.

Top 12 peaks for 2θ = 10–90°, sorted by position:
d (Å)	Position (°2θ)	I (rel.)	h k l
3.034	29.44	9.0	1 0 0
3.002	29.76	19.3	0 1 1
2.781	32.19	14.2	1 0 3
2.622	34.19	100.0	0 1 4
2.606	34.41	25.8	0 0 8
2.453	36.63	14.9	1 0 5
2.126	42.53	8.4	0 1 7
1.752	52.22	27.8	1 1 0
1.508	61.49	17.5	0 1 12
1.457	63.91	16.8	2 0 4
1.454	64.05	26.7	1 1 8
1.120	87.00	15.1	1 2 4

```
data_Lu3BiCN
_cell_length_a 3.5034
_cell_length_b 3.5034
_cell_length_c 20.8518
_cell_angle_alpha 90.00
_cell_angle_beta 90.00
_cell_angle_gamma 120.00
_symmetry_space_group_name_H-M 'P -3 m 1'
_symmetry_Int_Tables_number 164
_symmetry_space_group_name_Hall '-P 3 2"'
loop_
_atom_site_label
_atom_site_fract_x
_atom_site_fract_y
_atom_site_fract_z
Lu1 0.0000 0.0000 0.0000
Lu2 0.0000 0.0000 0.5000
Lu3 0.3333 0.6667 0.1237
Lu4 0.3333 0.6667 0.3733
Bi1 0.0000 0.0000 0.2440
C1 0.3333 0.6667 0.5734
N1 0.3333 0.6667 0.9327
```

***

(9)
Structure and calculated powder X-ray diffraction pattern of DyEr2TmTl2 (DFT lattice parameters and positions (PBE); Cu Kα (weighted mean of Kα1 and Kα2)).
Lines closer than 0.1° are merged.

Top 12 peaks for 2θ = 10–90°, sorted by position:
d (Å)	Position (°2θ)	I (rel.)	h k l
3.323	26.83	8.2	0 0 2
2.701	33.16	88.2	1 0 2
2.678	33.46	100.0	1 1 0
2.085	43.40	13.9	1 1 2
1.902	47.82	32.0	2 0 2
1.661	55.30	8.1	0 0 4
1.551	59.62	33.3	2 1 2
1.546	59.81	19.2	3 0 0
1.412	66.19	28.3	1 1 4
1.339	70.29	11.9	2 2 0
1.200	79.96	14.4	3 1 2
1.132	85.86	14.3	3 0 4

```
data_DyEr2TmTl2
_cell_length_a 5.3567
_cell_length_b 5.3567
_cell_length_c 6.6452
_cell_angle_alpha 90.00
_cell_angle_beta 90.00
_cell_angle_gamma 120.00
_symmetry_space_group_name_H-M 'P -6 m 2'
_symmetry_Int_Tables_number 187
_symmetry_space_group_name_Hall 'P -6 2'
loop_
_atom_site_label
_atom_site_fract_x
_atom_site_fract_y
_atom_site_fract_z
Dy1 0.0000 0.0000 0.0000
Er1 0.3333 0.6667 0.2525
Tm1 0.6667 0.3333 0.5000
Tl1 0.0000 0.0000 0.5000
Tl2 0.6667 0.3333 0.0000
```

***

(10)
Structure and calculated powder X-ray diffraction pattern of Sr2Li3NdSn3 (DFT lattice parameters and positions (PBE); Cu Kα (weighted mean of Kα1 and Kα2)).
Lines closer than 0.1° are merged.

Top 12 peaks for 2θ = 10–90°, sorted by position:
d (Å)	Position (°2θ)	I (rel.)	h k l
4.298	20.66	15.6	1 0 0
4.028	22.07	52.8	1 0 1
3.448	25.84	10.6	1 0 2
2.867	31.19	100.0	1 0 3
2.482	36.20	66.9	1 1 0
2.396	37.53	24.8	1 0 4
1.877	48.51	29.3	2 0 3
1.521	60.92	19.2	1 1 6
1.497	62.00	28.3	2 1 3
1.433	65.09	14.2	3 0 0
1.241	76.81	10.1	2 2 0
1.139	85.21	12.1	3 1 3

```
data_Sr2Li3NdSn3
_cell_length_a 4.9635
_cell_length_b 4.9635
_cell_length_c 11.5466
_cell_angle_alpha 90.00
_cell_angle_beta 90.00
_cell_angle_gamma 120.00
_symmetry_space_group_name_H-M 'P -6 m 2'
_symmetry_Int_Tables_number 187
_symmetry_space_group_name_Hall 'P -6 2'
loop_
_atom_site_label
_atom_site_fract_x
_atom_site_fract_y
_atom_site_fract_z
Sr1 0.0000 0.0000 0.1646
Li1 0.3333 0.6667 0.0000
Li2 0.6667 0.3333 0.3227
Nd1 0.0000 0.0000 0.5000
Sn1 0.3333 0.6667 0.3629
Sn2 0.6667 0.3333 0.0000
```

***

(11)
Structure and calculated powder X-ray diffraction pattern of K2SnWN4 (DFT lattice parameters and positions (PBE); Cu Kα (weighted mean of Kα1 and Kα2)).
Lines closer than 0.1° are merged.

Top 12 peaks for 2θ = 10–90°, sorted by position:
d (Å)	Position (°2θ)	I (rel.)	h k l
4.822	18.40	71.0	1 0 1
2.971	30.07	100.0	1 1 2
2.917	30.65	40.0	2 0 0
2.565	34.98	9.3	1 0 3
2.496	35.99	17.9	1 2 1
2.062	43.90	17.5	2 2 0
1.926	47.19	13.0	2 1 3
1.726	53.04	22.2	2 0 4
1.694	54.13	37.1	1 3 2
1.486	62.52	11.9	2 2 4
1.129	86.11	10.2	3 1 6
1.105	88.45	9.7	5 1 2

```
data_K2SnWN4
_cell_length_a 5.8333
_cell_length_b 5.8333
_cell_length_c 8.5685
_cell_angle_alpha 90.00
_cell_angle_beta 90.00
_cell_angle_gamma 90.00
_symmetry_space_group_name_H-M 'I -4'
_symmetry_Int_Tables_number 82
_symmetry_space_group_name_Hall 'I -4'
loop_
_atom_site_label
_atom_site_fract_x
_atom_site_fract_y
_atom_site_fract_z
K1 0.0000 0.0000 0.0000
K2 0.0000 0.5000 0.2500
Sn1 0.0000 0.5000 0.7500
W1 0.0000 0.0000 0.5000
N1 0.1286 0.2367 0.6192
```

***

Repeat the seventh record exactly.
Structure and calculated powder X-ray diffraction pattern of CuAg19 (DFT lattice parameters and positions (PBE); Cu Kα (weighted mean of Kα1 and Kα2)).
Lines closer than 0.1° are merged.

Top 12 peaks for 2θ = 10–90°, sorted by position:
d (Å)	Position (°2θ)	I (rel.)	h k l
2.389	37.66	100.0	1 2 -3
2.079	43.53	16.4	2 1 1
2.070	43.73	16.1	1 0 -5
2.057	44.01	15.8	1 -3 2
1.467	63.41	10.0	3 1 -4
1.464	63.57	5.0	1 4 -1
1.460	63.72	9.8	3 -2 3
1.459	63.80	4.9	0 3 -7
1.252	76.02	11.6	4 0 0
1.248	76.29	11.4	-3 1 6
1.243	76.68	8.5	3 -4 1
1.194	80.39	5.0	-4 2 2

```
data_CuAg19
_cell_length_a 5.0779
_cell_length_b 6.5162
_cell_length_c 11.3269
_cell_angle_alpha 106.55
_cell_angle_beta 94.35
_cell_angle_gamma 96.99
_symmetry_space_group_name_H-M 'P -1'
_symmetry_Int_Tables_number 2
_symmetry_space_group_name_Hall '-P 1'
loop_
_atom_site_label
_atom_site_fract_x
_atom_site_fract_y
_atom_site_fract_z
Cu1 0.0000 0.0000 0.0000
Ag1 0.9998 0.1974 0.8047
Ag2 0.9997 0.4004 0.6016
Ag3 0.2447 0.6545 0.8529
Ag4 0.2477 0.2453 0.2455
Ag5 0.2486 0.4425 0.0489
Ag6 0.2496 0.0499 0.4492
Ag7 0.2512 0.8503 0.6505
Ag8 0.4988 0.9013 0.0972
Ag9 0.4999 0.3015 0.7022
Ag10 0.5000 0.5000 0.5000
```